(1)
Starting from a PBE-relaxed structure, the powder diffractogram of Tb6Pr12Sm was simulated for Cu Kα (weighted mean of Kα1 and Kα2).
Kinematic intensities with the Lorentz-polarization factor, no thermal factor.

Peak list (10 most intense, 2θ from 15° to 90°, by angle)
- 30.08 deg, rel. 41
- 30.62 deg, rel. 26
- 30.89 deg, rel. 100
- 32.13 deg, rel. 66
- 32.51 deg, rel. 31
- 34.01 deg, rel. 17
- 43.90 deg, rel. 13
- 53.86 deg, rel. 19
- 56.67 deg, rel. 12
- 56.98 deg, rel. 12

Structural model:
abc: 12.2700 12.2700 15.4701
angles: 90.00 90.00 120.00
Space group R-3 (No. 148, hexagonal axes)
Asymmetric unit:
Tb 0.0157 0.5879 0.1866 x18
Pr 0.0029 0.1740 0.6917 x18
Pr 0.0474 0.1981 0.9165 x18
Sm 0.0000 0.0000 0.5000 x3

---

(2)
Starting from a PBE-relaxed structure, the powder diffractogram of Tb12Pr2Sm5 was simulated for Cu Kα (weighted mean of Kα1 and Kα2).
Kinematic intensities with the Lorentz-polarization factor, no thermal factor.

Peak list (10 most intense, 2θ from 15° to 90°, by angle)
- 30.08 deg, rel. 29
- 31.12 deg, rel. 100
- 31.82 deg, rel. 68
- 32.11 deg, rel. 68
- 32.24 deg, rel. 59
- 32.54 deg, rel. 60
- 32.96 deg, rel. 46
- 33.14 deg, rel. 64
- 51.25 deg, rel. 24
- 55.63 deg, rel. 25

Structural model:
abc: 6.789 7.134 14.110
angles: 103.59 95.87 103.93
Space group P-1 (No. 2)
Asymmetric unit:
Tb 0.030 0.346 0.189 x2
Tb 0.035 0.846 0.210 x2
Tb 0.153 0.557 0.595 x2
Tb 0.331 0.284 0.387 x2
Tb 0.412 0.991 0.771 x2
Tb 0.433 0.512 0.792 x2
Pr 0.269 0.078 0.017 x2
Sm 0.000 0.000 0.500 x1
Sm 0.267 0.580 0.020 x2
Sm 0.391 0.777 0.405 x2

---

(3)
Starting from a PBE-relaxed structure, the powder diffractogram of Tb5Pr2Sm was simulated for Cu Kα (weighted mean of Kα1 and Kα2).
Kinematic intensities with the Lorentz-polarization factor, no thermal factor.

Peak list (8 most intense, 2θ from 15° to 90°, by angle)
- 30.35 deg, rel. 100
- 35.19 deg, rel. 51
- 50.61 deg, rel. 36
- 60.16 deg, rel. 43
- 63.14 deg, rel. 12
- 74.39 deg, rel. 6
- 82.41 deg, rel. 18
- 85.04 deg, rel. 17

Structural model:
abc: 7.211 14.424 5.104
angles: 90.00 90.00 90.00
Space group Pbam (No. 55)
Asymmetric unit:
Tb 0.000 0.000 0.000 x2
Tb 0.001 0.250 0.000 x4
Tb 0.249 0.625 0.500 x4
Pr 0.249 0.875 0.500 x4
Sm 0.000 0.500 0.000 x2

---

(4)
Starting from a PBE-relaxed structure, the powder diffractogram of TbPrSm was simulated for Cu Kα (weighted mean of Kα1 and Kα2).
Kinematic intensities with the Lorentz-polarization factor, no thermal factor.

Peak list (8 most intense, 2θ from 15° to 90°, by angle)
- 30.13 deg, rel. 100
- 34.93 deg, rel. 51
- 50.23 deg, rel. 36
- 59.69 deg, rel. 43
- 62.64 deg, rel. 12
- 73.77 deg, rel. 6
- 81.70 deg, rel. 18
- 84.30 deg, rel. 16

Structural model:
abc: 3.6328 3.6328 8.8996
angles: 90.00 90.00 120.00
Space group P3m1 (No. 156)
Asymmetric unit:
Tb 0.0000 0.0000 0.0000 x1
Pr 0.6667 0.3333 0.3334 x1
Sm 0.3333 0.6667 0.6739 x1

---

(5)
Starting from a PBE-relaxed structure, the powder diffractogram of TbPr6Sm3 was simulated for Cu Kα (weighted mean of Kα1 and Kα2).
Kinematic intensities with the Lorentz-polarization factor, no thermal factor.

Peak list (10 most intense, 2θ from 15° to 90°, by angle)
- 27.83 deg, rel. 41
- 27.96 deg, rel. 53
- 28.15 deg, rel. 43
- 28.84 deg, rel. 27
- 30.75 deg, rel. 100
- 31.06 deg, rel. 48
- 31.80 deg, rel. 25
- 33.14 deg, rel. 62
- 33.45 deg, rel. 28
- 59.32 deg, rel. 22

Structural model:
abc: 11.068 19.482 6.536
angles: 90.00 90.00 90.00
Space group Cmc2_1 (No. 36)
Asymmetric unit:
Tb 0.000 0.192 0.000 x4
Pr 0.000 0.034 0.750 x4
Pr 0.000 0.280 0.541 x4
Pr 0.170 0.460 0.445 x8
Pr 0.233 0.292 0.258 x8
Sm 0.000 0.383 0.974 x4
Sm 0.174 0.117 0.350 x8

---

(6)
Starting from a PBE-relaxed structure, the powder diffractogram of TbPr2Sm7 was simulated for Cu Kα (weighted mean of Kα1 and Kα2).
Kinematic intensities with the Lorentz-polarization factor, no thermal factor.

Peak list (10 most intense, 2θ from 15° to 90°, by angle)
- 30.07 deg, rel. 100
- 34.81 deg, rel. 34
- 34.96 deg, rel. 17
- 50.15 deg, rel. 30
- 59.48 deg, rel. 22
- 59.58 deg, rel. 7
- 59.70 deg, rel. 14
- 62.46 deg, rel. 6
- 62.56 deg, rel. 6
- 81.53 deg, rel. 10

Structural model:
abc: 6.296 7.278 8.139
angles: 77.12 75.02 73.51
Space group P-1 (No. 2)
Asymmetric unit:
Tb 0.000 0.000 0.000 x1
Pr 0.201 0.299 0.601 x2
Sm 0.000 0.500 0.000 x1
Sm 0.200 0.801 0.601 x2
Sm 0.399 0.100 0.198 x2
Sm 0.399 0.601 0.198 x2

---

(7)
Starting from a PBE-relaxed structure, the powder diffractogram of TbPrSmTh2 was simulated for Cu Kα (weighted mean of Kα1 and Kα2).
Kinematic intensities with the Lorentz-polarization factor, no thermal factor.

Peak list (10 most intense, 2θ from 15° to 90°, by angle)
- 22.39 deg, rel. 11
- 25.20 deg, rel. 14
- 28.87 deg, rel. 100
- 33.93 deg, rel. 36
- 35.00 deg, rel. 41
- 37.90 deg, rel. 42
- 51.75 deg, rel. 30
- 63.00 deg, rel. 23
- 64.96 deg, rel. 12
- 66.58 deg, rel. 13

Structural model:
abc: 6.709 15.880 6.722
angles: 90.00 90.00 90.00
Space group Cmcm (No. 63)
Asymmetric unit:
Tb 0.000 0.152 0.250 x4
Pr 0.000 0.348 0.250 x4
Sm 0.000 0.223 0.750 x4
Th 0.245 0.000 0.000 x8

---

(8)
Starting from a PBE-relaxed structure, the powder diffractogram of Tb2Pr4Sm2Tm was simulated for Cu Kα (weighted mean of Kα1 and Kα2).
Kinematic intensities with the Lorentz-polarization factor, no thermal factor.

Peak list (10 most intense, 2θ from 15° to 90°, by angle)
- 30.10 deg, rel. 100
- 34.82 deg, rel. 34
- 35.03 deg, rel. 17
- 50.07 deg, rel. 12
- 50.22 deg, rel. 24
- 59.50 deg, rel. 7
- 59.54 deg, rel. 22
- 59.81 deg, rel. 14
- 62.57 deg, rel. 12
- 84.00 deg, rel. 7

Structural model:
abc: 15.460 5.153 8.109
angles: 90.00 108.63 90.00
Space group C2/m (No. 12)
Asymmetric unit:
Tb 0.167 0.000 0.000 x4
Pr 0.054 0.000 0.331 x4
Pr 0.222 0.500 0.331 x4
Sm 0.111 0.500 0.671 x4
Tm 0.000 0.500 0.000 x2

---

(9)
Starting from a PBE-relaxed structure, the powder diffractogram of TbPr2Sm4Tm was simulated for Cu Kα (weighted mean of Kα1 and Kα2).
Kinematic intensities with the Lorentz-polarization factor, no thermal factor.

Peak list (10 most intense, 2θ from 15° to 90°, by angle)
- 26.67 deg, rel. 45
- 29.93 deg, rel. 100
- 40.51 deg, rel. 88
- 53.13 deg, rel. 20
- 60.43 deg, rel. 27
- 62.22 deg, rel. 8
- 63.82 deg, rel. 22
- 68.92 deg, rel. 12
- 79.93 deg, rel. 8
- 86.13 deg, rel. 6

Structural model:
abc: 13.775 13.371 6.899
angles: 90.00 119.95 90.00
Space group C2/c (No. 15)
Asymmetric unit:
Tb 0.250 0.250 0.000 x4
Pr 0.000 0.000 0.000 x4
Pr 0.250 0.250 0.500 x4
Sm 0.001 0.257 0.502 x8
Sm 0.245 0.498 0.981 x8
Tm 0.000 0.500 0.000 x4

---

(10)
Starting from a PBE-relaxed structure, the powder diffractogram of Tb4Pr2SmTm was simulated for Cu Kα (weighted mean of Kα1 and Kα2).
Kinematic intensities with the Lorentz-polarization factor, no thermal factor.

Peak list (10 most intense, 2θ from 15° to 90°, by angle)
- 30.43 deg, rel. 100
- 35.19 deg, rel. 17
- 35.32 deg, rel. 34
- 50.73 deg, rel. 30
- 50.84 deg, rel. 6
- 60.22 deg, rel. 14
- 60.39 deg, rel. 29
- 63.32 deg, rel. 12
- 82.62 deg, rel. 12
- 85.45 deg, rel. 7

Structural model:
abc: 5.085 5.101 10.156
angles: 90.00 90.04 90.00
Space group P2/m (No. 10)
Asymmetric unit:
Tb 0.000 0.000 0.248 x2
Tb 0.500 0.500 0.248 x2
Pr 0.000 0.500 0.000 x1
Pr 0.500 0.000 0.500 x1
Sm 0.000 0.500 0.500 x1
Tm 0.500 0.000 0.000 x1

---

(11)
Starting from a PBE-relaxed structure, the powder diffractogram of TbPr3SmTm was simulated for Cu Kα (weighted mean of Kα1 and Kα2).
Kinematic intensities with the Lorentz-polarization factor, no thermal factor.

Peak list (10 most intense, 2θ from 15° to 90°, by angle)
- 30.10 deg, rel. 100
- 34.78 deg, rel. 17
- 34.95 deg, rel. 34
- 50.13 deg, rel. 24
- 50.26 deg, rel. 12
- 59.48 deg, rel. 14
- 59.65 deg, rel. 14
- 59.76 deg, rel. 14
- 62.57 deg, rel. 12
- 81.53 deg, rel. 12

Structural model:
abc: 5.129 15.477 10.280
angles: 90.00 90.00 90.00
Space group Cmcm (No. 63)
Asymmetric unit:
Tb 0.000 0.002 0.250 x4
Pr 0.000 0.166 0.001 x8
Pr 0.000 0.333 0.250 x4
Sm 0.000 0.500 0.000 x4
Tm 0.000 0.335 0.750 x4

---

(12)
Starting from a PBE-relaxed structure, the powder diffractogram of TbPr2Sm2Tm was simulated for Cu Kα (weighted mean of Kα1 and Kα2).
Kinematic intensities with the Lorentz-polarization factor, no thermal factor.

Peak list (10 most intense, 2θ from 15° to 90°, by angle)
- 31.04 deg, rel. 93
- 31.30 deg, rel. 100
- 44.66 deg, rel. 34
- 55.54 deg, rel. 35
- 55.71 deg, rel. 19
- 61.58 deg, rel. 29
- 65.30 deg, rel. 12
- 74.06 deg, rel. 15
- 79.35 deg, rel. 14
- 87.75 deg, rel. 11

Structural model:
abc: 7.088 5.715 9.901
angles: 90.00 90.00 90.00
Space group Pmma (No. 51)
Asymmetric unit:
Tb 0.250 0.000 0.158 x2
Pr 0.000 0.000 0.500 x2
Pr 0.250 0.500 0.678 x2
Sm 0.250 0.000 0.832 x2
Sm 0.250 0.500 0.336 x2
Tm 0.000 0.500 0.000 x2

---

(13)
Starting from a PBE-relaxed structure, the powder diffractogram of Tb2Pr2Sm4Y was simulated for Cu Kα (weighted mean of Kα1 and Kα2).
Kinematic intensities with the Lorentz-polarization factor, no thermal factor.

Peak list (10 most intense, 2θ from 15° to 90°, by angle)
- 28.38 deg, rel. 33
- 28.99 deg, rel. 25
- 30.60 deg, rel. 52
- 31.34 deg, rel. 100
- 33.01 deg, rel. 90
- 49.90 deg, rel. 26
- 53.77 deg, rel. 21
- 57.00 deg, rel. 19
- 59.56 deg, rel. 16
- 59.68 deg, rel. 31

Structural model:
abc: 18.978 3.664 9.725
angles: 90.00 115.67 90.00
Space group C2/m (No. 12)
Asymmetric unit:
Tb 0.147 0.000 0.165 x4
Pr 0.166 0.500 0.498 x4
Sm 0.019 0.500 0.835 x4
Sm 0.186 0.000 0.835 x4
Y 0.000 0.000 0.500 x2